This entry pairs a crystal structure of Rb4NaBr5 with its simulated powder diffraction line list. Radiation: Cu Ka. Structure: the GGA-PBE geometry in Alexandria.
Kinematic intensities with the Lorentz-polarization factor, no thermal factor.

Atomic structure:
```
Rb4NaBr5
1.0
2.4022 1.3869 19.8176
-2.4022 1.3869 19.8176
0.0000 -2.7738 19.8176
Rb Na Br
4 1 5
Direct
0.1051 0.1051 0.1051 Rb
0.2981 0.2981 0.2981 Rb
0.7019 0.7019 0.7019 Rb
0.8949 0.8949 0.8949 Rb
0.5000 0.5000 0.5000 Na
0.0000 0.0000 0.0000 Br
0.1926 0.1926 0.1926 Br
0.4039 0.4039 0.4039 Br
0.5961 0.5961 0.5961 Br
0.8074 0.8074 0.8074 Br
```

Principal peaks in the range 2θ from 10° to 90°, by intensity:
d/Å, Rel. int.
3.409, 100
2.402, 41
2.419, 30
1.964, 20
1.520, 18
2.677, 11